No. 1
Structure and computed powder diffraction line list of LaPrZn2Pb2 (a DFT-relaxed cell (PBE, OQMD); Cu Kα (weighted mean of Kα1 and Kα2)).

Most intense lines, 2θ = 10–90°, low angle first:
| (hkl) | two_theta | d/Å | I_rel |
| --- | --- | --- | --- |
| 1 0 1 | 22.5 | 3.960 | 12 |
| 1 0 3 | 27.0 | 3.299 | 43 |
| 1 0 4 | 30.5 | 2.929 | 100 |
| 1 1 0 | 38.3 | 2.352 | 71 |
| 1 0 7 | 43.7 | 2.073 | 27 |
| 2 0 4 | 49.7 | 1.834 | 26 |
| 1 1 8 | 58.8 | 1.570 | 20 |
| 2 0 7 | 59.4 | 1.555 | 11 |
| 2 1 4 | 64.4 | 1.446 | 24 |
| 3 0 0 | 69.2 | 1.358 | 13 |
| 2 1 7 | 72.9 | 1.297 | 12 |
| 3 1 4 | 89.9 | 1.091 | 10 |

Crystal structure
Cell lengths 4.7046, 4.7046, 16.8606 Å; angles 90.00, 90.00, 120.00 degrees
Space group P6_3/mmc (No. 194)
Unique sites:
La  0.0000  0.0000  0.0000 [2 per cell]
Pr  0.0000  0.0000  0.2500 [2 per cell]
Zn  0.3333  0.6667  0.1633 [4 per cell]
Pb  0.3333  0.6667  0.6136 [4 per cell]

=====

No. 2
Structure and computed powder diffraction line list of YZrCSe (a DFT-relaxed cell (PBE, OQMD); Cu Kα (weighted mean of Kα1 and Kα2)).

Most intense lines, 2θ = 10–90°, low angle first:
| (hkl) | two_theta | d/Å | I_rel |
| --- | --- | --- | --- |
| 1 0 0 | 28.6 | 3.126 | 27 |
| 0 1 3 | 35.4 | 2.537 | 100 |
| 0 1 4 | 40.0 | 2.256 | 5 |
| 0 0 6 | 41.6 | 2.172 | 10 |
| 1 1 0 | 50.6 | 1.805 | 27 |
| 1 0 6 | 51.2 | 1.784 | 10 |
| 1 0 7 | 57.6 | 1.600 | 4 |
| 2 0 0 | 59.1 | 1.563 | 3 |
| 2 0 3 | 63.2 | 1.471 | 18 |
| 1 1 6 | 67.5 | 1.388 | 14 |
| 0 1 9 | 71.9 | 1.314 | 6 |
| 1 2 3 | 85.1 | 1.140 | 15 |

Crystal structure
Cell lengths 3.6097, 3.6097, 13.0324 Å; angles 90.00, 90.00, 120.00 degrees
Space group P-3m1 (No. 164)
Unique sites:
Y  0.3333  0.6667  0.3968 [2 per cell]
Zr  0.3333  0.6667  0.0915 [2 per cell]
C  0.0000  0.0000  0.0000 [1 per cell]
C  0.0000  0.0000  0.5000 [1 per cell]
Se  0.3333  0.6667  0.7643 [2 per cell]

=====

No. 3
Structure and computed powder diffraction line list of PH4WAuSe4 (a DFT-relaxed cell (PBE, OQMD); Cu Kα (weighted mean of Kα1 and Kα2)).

Most intense lines, 2θ = 10–90°, low angle first:
| (hkl) | two_theta | d/Å | I_rel |
| --- | --- | --- | --- |
| 0 1 0 | 14.2 | 6.221 | 100 |
| 0 1 1 | 20.2 | 4.399 | 24 |
| 1 2 1 | 27.4 | 3.261 | 33 |
| 0 2 0 | 28.7 | 3.110 | 17 |
| 0 2 1 | 32.2 | 2.782 | 13 |
| 2 1 2 | 34.0 | 2.638 | 18 |
| 2 2 2 | 37.0 | 2.429 | 24 |
| 2 -1 1 | 42.5 | 2.126 | 11 |
| 0 3 0 | 43.7 | 2.074 | 9 |
| 2 3 0 | 45.1 | 2.012 | 41 |
| 0 3 1 | 46.1 | 1.967 | 20 |
| 0 2 3 | 53.1 | 1.725 | 8 |

Crystal structure
Cell lengths 5.826, 6.865, 6.866 Å; angles 79.69, 64.96, 64.97 degrees
Space group P1 (No. 1)
Unique sites:
P  0.000  0.000  0.000 [1 per cell]
H  0.091  0.919  0.172 [1 per cell]
H  0.186  0.075  0.826 [1 per cell]
H  0.741  0.176  0.078 [1 per cell]
H  0.981  0.831  0.922 [1 per cell]
W  0.250  0.500  0.500 [1 per cell]
Au  0.750  0.499  0.500 [1 per cell]
Se  0.232  0.186  0.420 [1 per cell]
Se  0.348  0.420  0.814 [1 per cell]
Se  0.581  0.580  0.186 [1 per cell]
Se  0.838  0.814  0.580 [1 per cell]